(1)
For USeI2O6, a crystal structure in Alexandria, relaxed with GGA-PBE gives the computed X-ray diffraction stick pattern in this record (Cu Kα (weighted mean of Kα1 and Kα2)).

```
USeI2O6
1.0
4.7724 0.0000 0.0000
-0.4038 6.3163 0.0000
-2.3248 -2.9694 5.9100
U Se I O
1 1 2 6
Cartesian
0.0000 0.0000 0.0000
2.1843 3.1582 0.0000
-0.5054 3.4879 2.4120
2.5491 -0.1411 3.4980
-1.8792 3.0606 4.2227
0.6580 4.2562 0.8675
1.4135 1.4598 0.5063
0.6302 1.8871 5.4037
1.3857 -0.9093 5.0425
3.9229 0.2863 1.6873
```

Largest 6 diffraction maxima, by intensity, 10 to 90 degrees two-theta:
d_spacing  Position (°2θ)  Rel. int.
3.131  28.51  100
3.326  26.80  66
3.157  28.27  52
3.213  27.77  42
4.384  20.26  39
3.296  27.06  26



(2)
For SmTaIO4, a crystal structure in Alexandria, relaxed with GGA-PBE gives the computed X-ray diffraction stick pattern in this record (Cu Kα (weighted mean of Kα1 and Kα2)).

```
SmTaIO4
1.0
6.6443 -3.2425 0.0000
6.6443 3.2425 0.0000
-1.9827 0.0000 6.6313
Sm Ta I O
2 2 2 8
Cartesian
2.1107 0.0000 2.1127
9.1952 0.0000 4.5186
0.0760 0.0000 4.6667
11.2299 0.0000 1.9646
4.5061 0.0000 5.2959
6.7999 0.0000 1.3354
-0.1871 0.0000 2.2958
3.5029 1.7756 2.5013
0.1688 0.0000 6.5172
7.8031 1.7756 4.1300
3.5029 -1.7756 2.5013
11.1372 0.0000 0.1141
7.8031 -1.7756 4.1300
11.4931 0.0000 4.3355
```

Largest 6 diffraction maxima, by intensity, 10 to 90 degrees two-theta:
d_spacing  Position (°2θ)  Rel. int.
3.551  25.08  100
3.499  25.46  95
3.242  27.51  94
2.858  31.29  75
3.316  26.89  55
2.778  32.22  53



(3)
For Sm2Tl2IO6, a crystal structure in Alexandria, relaxed with GGA-PBE gives the computed X-ray diffraction stick pattern in this record (Cu Kα (weighted mean of Kα1 and Kα2)).

```
Sm2Tl2IO6
1.0
3.0753 -5.4970 0.0000
3.0753 5.4970 0.0000
-1.8890 0.0000 6.4915
Sm Tl I O
2 2 1 6
Cartesian
3.0753 3.6632 0.0000
3.0753 -3.6632 0.0000
2.1307 1.8020 3.2458
2.1307 -1.8020 3.2458
3.0753 0.0000 0.0000
0.1905 1.9116 5.3600
1.2008 0.0000 0.9865
0.1905 -1.9116 5.3600
4.0710 1.9116 1.1315
3.0607 0.0000 5.5050
4.0710 -1.9116 1.1315
```

Largest 6 diffraction maxima, by intensity, 10 to 90 degrees two-theta:
d_spacing  Position (°2θ)  Rel. int.
2.659  33.71  100
2.984  29.94  89
3.246  27.48  62
2.571  34.90  45
2.953  30.27  43
1.914  47.52  38



Q: Which formula does entry 1 have?
A: USeI2O6